Starting from a cell relaxed with PBE, the PXRD pattern of Ho3InAg was calculated for copper Kα.
Kinematic intensities with the Lorentz-polarization factor, no thermal factor.

Top 10 peaks for 2θ from 15° to 90°, most intense first:
d_spacing	I (rel.)	index
2.712	100	1 5 1
2.547	45	2 0 0
1.500	32	3 5 1
1.801	16	2 0 2
1.602	16	2 10 0
1.356	9	2 10 2
2.061	9	0 10 0
1.139	7	4 0 2
1.153	7	3 5 3
1.273	5	4 0 0

Crystal structure
a = 5.0936 Å, b = 20.6057 Å, c = 5.0924 Å
α = 90.00°, β = 90.00°, γ = 90.00°
Space group Cmcm (No. 63)
One atom of each set of equivalent atoms:
Ho1 0.0000 0.0606 0.2500 [4 per cell]
Ho2 0.0000 0.2496 0.2500 [4 per cell]
Ho3 0.0000 0.4379 0.2500 [4 per cell]
In1 0.0000 0.1563 0.7500 [4 per cell]
Ag1 0.0000 0.3411 0.7500 [4 per cell]



Starting from a cell relaxed with PBE, the PXRD pattern of Rb2Sb4S7 was calculated for copper Kα.
Kinematic intensities with the Lorentz-polarization factor, no thermal factor.

Top 10 peaks for 2θ from 15° to 90°, most intense first:
d_spacing	I (rel.)	index
3.650	100	2 0 -2
3.519	64	1 1 -3
3.771	49	0 3 1
2.648	44	2 3 -1
2.821	36	1 3 1
5.725	33	1 0 0
2.378	32	2 4 -2
3.018	29	0 3 2
2.595	27	2 3 -3
2.753	26	1 4 0

Crystal structure
a = 7.2996 Å, b = 12.5508 Å, c = 11.1104 Å
α = 90.00°, β = 128.34°, γ = 90.00°
Space group P2_1/c (No. 14)
One atom of each set of equivalent atoms:
Rb1 0.1413 0.0603 0.3489 [4 per cell]
Sb1 0.3318 0.1544 0.0612 [4 per cell]
Sb2 0.4007 0.6376 0.6492 [4 per cell]
S1 0.0000 0.0000 0.0000 [2 per cell]
S2 0.1895 0.2327 0.6664 [4 per cell]
S3 0.3237 0.7027 0.8217 [4 per cell]
S4 0.3847 0.5322 0.2215 [4 per cell]



What is the formula in the second record? Rb2Sb4S7



What did the second record say?
Starting from a cell relaxed with PBE, the PXRD pattern of Rb2Sb4S7 was calculated for copper Kα.
Kinematic intensities with the Lorentz-polarization factor, no thermal factor.

Top 10 peaks for 2θ from 15° to 90°, most intense first:
d_spacing	I (rel.)	index
3.650	100	2 0 -2
3.519	64	1 1 -3
3.771	49	0 3 1
2.648	44	2 3 -1
2.821	36	1 3 1
5.725	33	1 0 0
2.378	32	2 4 -2
3.018	29	0 3 2
2.595	27	2 3 -3
2.753	26	1 4 0

Crystal structure
a = 7.2996 Å, b = 12.5508 Å, c = 11.1104 Å
α = 90.00°, β = 128.34°, γ = 90.00°
Space group P2_1/c (No. 14)
One atom of each set of equivalent atoms:
Rb1 0.1413 0.0603 0.3489 [4 per cell]
Sb1 0.3318 0.1544 0.0612 [4 per cell]
Sb2 0.4007 0.6376 0.6492 [4 per cell]
S1 0.0000 0.0000 0.0000 [2 per cell]
S2 0.1895 0.2327 0.6664 [4 per cell]
S3 0.3237 0.7027 0.8217 [4 per cell]
S4 0.3847 0.5322 0.2215 [4 per cell]